For TbP2O2, a PBE-relaxed structure gives the computed X-ray powder pattern in this record (λ = 1.5418 Å (Cu Kα)).
Peak positions follow from Bragg's law for the DFT cell and can differ from measured ones.

Crystal structure
Cell: 10.3006 10.3006 10.3006 Å, 127.36 127.36 77.67°
Fractional positions:
Tb  0.0000  0.0000  0.0000
Tb  0.0000  0.0000  0.5000
Tb  0.0000  0.5000  0.0000
Tb  0.5000  0.0000  0.5000
P  0.0726  0.1721  0.9004
P  0.1721  0.0726  0.4004
P  0.1721  0.7717  0.0996
P  0.2283  0.8279  0.4004
P  0.7717  0.1721  0.5996
P  0.8279  0.2283  0.9004
P  0.8279  0.9274  0.5996
P  0.9274  0.8279  0.0996
O  0.1351  0.1961  0.5610
O  0.1351  0.5741  0.9390
O  0.1961  0.1351  0.0610
O  0.4259  0.8649  0.5610
O  0.5741  0.1351  0.4390
O  0.8039  0.8649  0.9390
O  0.8649  0.4259  0.0610
O  0.8649  0.8039  0.4390

The 10 most intense peaks (2θ from 5° to 70°), low angle first:
11.15 deg, I = 100; 22.42 deg, I = 42; 27.62 deg, I = 18; 35.57 deg, I = 7; 35.69 deg, I = 7; 35.89 deg, I = 10; 39.03 deg, I = 15; 44.26 deg, I = 6; 45.68 deg, I = 6; 45.84 deg, I = 12